1.
Computed powder XRD pattern
Compound: Mn2CoP3O12
Radiation: Cu Kα X-rays
Structure: DFT lattice parameters and positions (PBE+U)
Kinematic intensities with the Lorentz-polarization factor, no thermal factor.

The 6 most intense peaks (15 to 90 degrees two-theta), low angle first:
hkl  2theta  intensity
1 1 0  20.62  862
1 1 3  24.42  1000
1 1 6  33.46  671
3 0 0  36.12  407
1 2 8  47.95  336
2 2 6  50.06  262

Atomic structure:
```
data_Mn2CoP3O12
_chemical_formula_sum 'Mn12 Co6 P18 O72'
_symmetry_space_group_name_H-M 'R -3 c'
_symmetry_Int_Tables_number 167
_symmetry_space_group_name_Hall '-R 3 2"c'
_cell_length_a 8.6137
_cell_length_b 8.6137
_cell_length_c 20.5182
_cell_angle_alpha 90.00
_cell_angle_beta 90.00
_cell_angle_gamma 120.00
loop_
_atom_site_label
_atom_site_type_symbol
_atom_site_fract_x
_atom_site_fract_y
_atom_site_fract_z
Mn1 Mn 0.0000 0.0000 0.1428
Co1 Co 0.0000 0.0000 0.0000
P1 P 0.0000 0.2945 0.2500
O1 O 0.0042 0.2010 0.3125
O2 O 0.0150 0.1802 0.9261
```

=====

2.
Computed powder XRD pattern
Compound: Ca2Ni2SF6
Radiation: Cu Kα X-rays
Structure: DFT lattice parameters and positions (PBE+U)
Kinematic intensities with the Lorentz-polarization factor, no thermal factor.

The 6 most intense peaks (15 to 90 degrees two-theta), low angle first:
hkl  2theta  intensity
3 1 1  26.75  196
2 2 2  27.96  1000
4 4 0  46.47  690
6 2 2  55.11  399
6 6 2  74.89  148
8 4 4  86.21  123

Atomic structure:
Cell lengths 11.054, 11.054, 11.054 Å; angles 90.00, 90.00, 90.00 degrees
Space group Fd-3m (No. 227, origin choice 2)
Inequivalent atoms, fractional coordinates:
1 Ca 0.000 0.000 0.000
2 Ni 0.000 0.000 0.500
3 S 0.125 0.125 0.125
4 F 0.073 0.375 0.875